HoCoI3: computed powder X-ray diffraction pattern (Cu Kα (weighted mean of Kα1 and Kα2)), based on a cell relaxed with GGA-PBE.

Largest 10 diffraction maxima, low angle first, 2θ from 10° to 90°:
Position (°2θ)  I/Imax  index
11.55  32  1 0 0
17.35  100  1 0 1
23.22  19  2 0 0
25.97  31  0 0 2
26.65  20  2 0 1
33.60  78  2 1 1
35.12  38  2 0 2
40.80  52  2 2 0
49.01  22  2 2 2
50.88  24  2 1 3

Atomic structure:
```
data_HoCoI3
_cell_length_a 8.8456
_cell_length_b 8.8456
_cell_length_c 6.8612
_cell_angle_alpha 90.00
_cell_angle_beta 90.00
_cell_angle_gamma 120.00
_symmetry_space_group_name_H-M 'P 63/m m c'
_symmetry_Int_Tables_number 194
_symmetry_space_group_name_Hall '-P 6c 2c'
loop_
_atom_site_label
_atom_site_type_symbol
_atom_site_fract_x
_atom_site_fract_y
_atom_site_fract_z
Ho1 Ho 0.3333 0.6667 0.2500
Co1 Co 0.0000 0.0000 0.0000
I1 I 0.1440 0.2880 0.2500
```

---

SmYSn2Ir: computed powder X-ray diffraction pattern (Cu Kα (weighted mean of Kα1 and Kα2)), based on a cell relaxed with GGA-PBE.

Largest 10 diffraction maxima, low angle first, 2θ from 10° to 90°:
Position (°2θ)  I/Imax  index
16.07  35  2 0 -1
30.65  82  1 1 2
31.54  71  1 1 -3
32.47  41  4 0 -2
34.95  34  3 1 -3
37.81  100  3 1 1
38.55  29  4 0 -4
39.73  72  0 2 0
40.00  40  3 1 -4
62.22  32  7 1 -3

Atomic structure:
```
data_SmYSn2Ir
_cell_length_a 11.059
_cell_length_b 4.538
_cell_length_c 10.978
_cell_angle_alpha 90.00
_cell_angle_beta 115.96
_cell_angle_gamma 90.00
_symmetry_space_group_name_H-M 'C 1 2/m 1'
_symmetry_Int_Tables_number 12
loop_
_symmetry_equiv_pos_as_xyz
'x,y,z'
'-x,-y,-z'
'-x,y,-z'
'x,-y,z'
'x+1/2,y+1/2,z'
'-x+1/2,-y+1/2,-z'
'-x+1/2,y+1/2,-z'
'x+1/2,-y+1/2,z'
loop_
_atom_site_label
_atom_site_type_symbol
_atom_site_fract_x
_atom_site_fract_y
_atom_site_fract_z
Sm1 Sm 0.189 0.000 0.126
Y1 Y 0.000 0.000 0.330
Sn1 Sn 0.026 0.500 0.880
Sn2 Sn 0.155 0.500 0.548
Ir1 Ir 0.227 0.500 0.328
```

---

Na5Ni3C3: computed powder X-ray diffraction pattern (Cu Kα (weighted mean of Kα1 and Kα2)), based on a cell relaxed with GGA-PBE.

Largest 10 diffraction maxima, low angle first, 2θ from 10° to 90°:
Position (°2θ)  I/Imax  index
22.21  92  1 1 0
33.73  100  1 1 1
34.22  28  2 1 0
36.20  15  2 0 1
38.98  58  3 0 0
45.31  13  2 2 0
51.44  12  0 0 2
52.48  16  2 2 1
66.37  21  3 0 2
67.26  15  4 1 1

Atomic structure:
```
data_Na5Ni3C3
_cell_length_a 8.0051
_cell_length_b 8.0051
_cell_length_c 3.5530
_cell_angle_alpha 90.00
_cell_angle_beta 90.00
_cell_angle_gamma 120.00
_symmetry_space_group_name_H-M 'P -6 2 m'
_symmetry_Int_Tables_number 189
_symmetry_space_group_name_Hall 'P -6 -2'
loop_
_atom_site_label
_atom_site_type_symbol
_atom_site_fract_x
_atom_site_fract_y
_atom_site_fract_z
Na1 Na 0.0000 0.7397 0.0000
Na2 Na 0.3333 0.6667 0.0000
Ni1 Ni 0.0000 0.3656 0.5000
C1 C 0.0000 0.3646 0.0000
```

---

Pr2YMg3AgHg2: computed powder X-ray diffraction pattern (Cu Kα (weighted mean of Kα1 and Kα2)), based on a cell relaxed with GGA-PBE.

Largest 10 diffraction maxima, low angle first, 2θ from 10° to 90°:
Position (°2θ)  I/Imax  index
12.89  29  0 2 0
22.42  61  0 3 1
24.59  28  1 1 1
30.81  100  1 0 2
33.52  96  1 4 0
39.36  46  0 3 3
40.70  38  1 5 1
42.44  24  2 0 0
59.26  28  2 3 3
62.89  27  1 7 3

Atomic structure:
```
data_Pr2YMg3AgHg2
_cell_length_a 4.260
_cell_length_b 13.746
_cell_length_c 7.925
_cell_angle_alpha 90.00
_cell_angle_beta 90.00
_cell_angle_gamma 90.00
_symmetry_space_group_name_H-M 'A m m 2'
_symmetry_Int_Tables_number 38
loop_
_symmetry_equiv_pos_as_xyz
'x,y,z'
'-x,-y,z'
'-x,y,z'
'x,-y,z'
'x,y+1/2,z+1/2'
'-x,-y+1/2,z+1/2'
'-x,y+1/2,z+1/2'
'x,-y+1/2,z+1/2'
loop_
_atom_site_label
_atom_site_type_symbol
_atom_site_fract_x
_atom_site_fract_y
_atom_site_fract_z
Pr1 Pr 0.000 0.205 0.000
Y1 Y 0.000 0.000 0.613
Mg1 Mg 0.500 0.000 0.961
Mg2 Mg 0.500 0.119 0.329
Ag1 Ag 0.000 0.000 0.210
Hg1 Hg 0.500 0.162 0.703
```

---

GdDyMg2Au4: computed powder X-ray diffraction pattern (Cu Kα (weighted mean of Kα1 and Kα2)), based on a cell relaxed with GGA-PBE.

Largest 10 diffraction maxima, low angle first, 2θ from 10° to 90°:
Position (°2θ)  I/Imax  index
22.26  19  1 1 0
25.49  17  1 0 1
36.27  26  0 0 2
36.46  26  2 0 0
36.93  100  1 2 1
52.37  18  2 0 2
65.68  18  1 2 3
65.93  19  3 2 1
66.97  9  2 4 0
78.61  11  2 4 2

Atomic structure:
```
data_GdDyMg2Au4
_cell_length_a 4.929
_cell_length_b 6.786
_cell_length_c 4.954
_cell_angle_alpha 90.00
_cell_angle_beta 90.00
_cell_angle_gamma 90.00
_symmetry_space_group_name_H-M 'P m m 2'
_symmetry_Int_Tables_number 25
loop_
_symmetry_equiv_pos_as_xyz
'x,y,z'
'-x,-y,z'
'-x,y,z'
'x,-y,z'
loop_
_atom_site_label
_atom_site_type_symbol
_atom_site_fract_x
_atom_site_fract_y
_atom_site_fract_z
Gd1 Gd 0.000 0.000 0.000
Dy1 Dy 0.500 0.500 0.527
Mg1 Mg 0.000 0.500 0.014
Mg2 Mg 0.500 0.000 0.514
Au1 Au 0.000 0.250 0.500
Au2 Au 0.500 0.253 0.028
```

---

Cu7Ag2: computed powder X-ray diffraction pattern (Cu Kα (weighted mean of Kα1 and Kα2)), based on a cell relaxed with GGA-PBE.

Largest 10 diffraction maxima, low angle first, 2θ from 10° to 90°:
Position (°2θ)  I/Imax  index
35.92  11  0 1 7
41.60  83  0 1 9
41.99  100  1 1 0
47.07  57  1 0 9
51.69  27  0 2 0
69.33  9  2 0 0
72.48  29  1 2 9
75.74  6  1 1 16
83.43  13  1 1 18
84.22  19  2 1 9

Atomic structure:
```
data_Cu7Ag2
_cell_length_a 2.711
_cell_length_b 3.537
_cell_length_c 24.747
_cell_angle_alpha 90.00
_cell_angle_beta 90.00
_cell_angle_gamma 90.00
_symmetry_space_group_name_H-M 'I m m m'
_symmetry_Int_Tables_number 71
_symmetry_space_group_name_Hall '-I 2 2'
loop_
_atom_site_label
_atom_site_type_symbol
_atom_site_fract_x
_atom_site_fract_y
_atom_site_fract_z
Cu1 Cu 0.000 0.000 0.000
Cu2 Cu 0.000 0.000 0.123
Cu3 Cu 0.000 0.000 0.225
Cu4 Cu 0.000 0.000 0.327
Ag1 Ag 0.000 0.000 0.439
```

---

ThIr: computed powder X-ray diffraction pattern (Cu Kα (weighted mean of Kα1 and Kα2)), based on a cell relaxed with GGA-PBE.

Largest 10 diffraction maxima, low angle first, 2θ from 10° to 90°:
Position (°2θ)  I/Imax  index
31.37  45  0 4 0
32.09  100  1 1 1
38.03  14  0 4 1
39.27  68  1 3 1
42.64  26  0 0 2
46.38  20  2 0 0
53.88  20  0 4 2
57.06  17  2 4 0
64.81  15  2 0 2
73.78  16  2 4 2

Atomic structure:
```
data_ThIr
_cell_length_a 3.916
_cell_length_b 11.406
_cell_length_c 4.241
_cell_angle_alpha 90.00
_cell_angle_beta 90.00
_cell_angle_gamma 90.00
_symmetry_space_group_name_H-M 'C m c m'
_symmetry_Int_Tables_number 63
_symmetry_space_group_name_Hall '-C 2c 2'
loop_
_atom_site_label
_atom_site_type_symbol
_atom_site_fract_x
_atom_site_fract_y
_atom_site_fract_z
Th1 Th 0.000 0.137 0.250
Ir1 Ir 0.000 0.402 0.250
```

---

La2Dy2CBr2Cl3: computed powder X-ray diffraction pattern (Cu Kα (weighted mean of Kα1 and Kα2)), based on a cell relaxed with GGA-PBE.

Largest 10 diffraction maxima, low angle first, 2θ from 10° to 90°:
Position (°2θ)  I/Imax  index
10.06  16  2 0 0
10.91  100  0 0 1
30.50  30  6 0 0
31.40  84  1 1 -2
33.32  23  6 0 -2
34.20  16  5 1 -1
34.33  23  5 1 0
39.91  18  1 1 -3
44.35  38  5 1 2
46.57  15  0 2 0

Atomic structure:
```
data_La2Dy2CBr2Cl3
_cell_length_a 18.084
_cell_length_b 3.900
_cell_length_c 8.341
_cell_angle_alpha 90.00
_cell_angle_beta 103.48
_cell_angle_gamma 90.00
_symmetry_space_group_name_H-M 'C 1 2/m 1'
_symmetry_Int_Tables_number 12
loop_
_symmetry_equiv_pos_as_xyz
'x,y,z'
'-x,-y,-z'
'-x,y,-z'
'x,-y,z'
'x+1/2,y+1/2,z'
'-x+1/2,-y+1/2,-z'
'-x+1/2,y+1/2,-z'
'x+1/2,-y+1/2,z'
loop_
_atom_site_label
_atom_site_type_symbol
_atom_site_fract_x
_atom_site_fract_y
_atom_site_fract_z
La1 La 0.000 0.000 0.216
Dy1 Dy 0.137 0.500 0.074
C1 C 0.000 0.500 0.000
Br1 Br 0.175 0.000 0.847
Cl1 Cl 0.000 0.500 0.500
Cl2 Cl 0.166 0.000 0.310
```

---

SrPt2: computed powder X-ray diffraction pattern (Cu Kα (weighted mean of Kα1 and Kα2)), based on a cell relaxed with GGA-PBE.

Largest 10 diffraction maxima, low angle first, 2θ from 10° to 90°:
Position (°2θ)  I/Imax  index
19.61  45  1 1 1
32.30  9  2 2 0
38.07  100  3 1 1
39.83  67  2 2 2
46.32  20  4 0 0
50.76  12  3 3 1
61.46  33  5 1 1
67.60  32  4 4 0
80.31  12  5 3 3
81.43  26  6 2 2

Atomic structure:
Cell: 7.840 7.840 7.840 Å, 90.00 90.00 90.00°
Space group Fd-3m (No. 227, origin choice 2)
One atom of each set of equivalent atoms:
Sr  0.125  0.125  0.125 x8
Pt  0.000  0.000  0.500 x16

---

SmPt: computed powder X-ray diffraction pattern (Cu Kα (weighted mean of Kα1 and Kα2)), based on a cell relaxed with GGA-PBE.

Largest 10 diffraction maxima, low angle first, 2θ from 10° to 90°:
Position (°2θ)  I/Imax  index
26.42  3  1 1 1
30.60  100  2 0 0
43.82  76  2 2 0
51.90  1  3 1 1
54.39  27  2 2 2
63.71  13  4 0 0
70.21  1  3 3 1
72.32  35  4 2 0
80.54  26  4 2 2
86.56  1  5 1 1

Atomic structure:
```
data_SmPt
_cell_length_a 5.843
_cell_length_b 5.843
_cell_length_c 5.843
_cell_angle_alpha 90.00
_cell_angle_beta 90.00
_cell_angle_gamma 90.00
_symmetry_space_group_name_H-M 'F m -3 m'
_symmetry_Int_Tables_number 225
_symmetry_space_group_name_Hall '-F 4 2 3'
loop_
_atom_site_label
_atom_site_type_symbol
_atom_site_fract_x
_atom_site_fract_y
_atom_site_fract_z
Sm1 Sm 0.000 0.000 0.000
Pt1 Pt 0.000 0.000 0.500
```

---

K5FeSb2: computed powder X-ray diffraction pattern (Cu Kα (weighted mean of Kα1 and Kα2)), based on a cell relaxed with GGA-PBE.

Largest 10 diffraction maxima, low angle first, 2θ from 10° to 90°:
Position (°2θ)  I/Imax  index
17.29  48  1 0 1
18.13  17  0 1 2
27.94  42  1 0 7
29.67  100  1 1 0
36.14  17  1 0 10
39.07  14  0 1 11
41.21  14  0 2 7
51.59  14  2 1 7
52.65  18  3 0 0
61.60  11  2 2 0

Atomic structure:
```
data_K5FeSb2
_cell_length_a 6.0221
_cell_length_b 6.0221
_cell_length_c 28.2734
_cell_angle_alpha 90.00
_cell_angle_beta 90.00
_cell_angle_gamma 120.00
_symmetry_space_group_name_H-M 'R -3 m'
_symmetry_Int_Tables_number 166
_symmetry_space_group_name_Hall '-R 3 2"'
loop_
_atom_site_label
_atom_site_type_symbol
_atom_site_fract_x
_atom_site_fract_y
_atom_site_fract_z
K1 K 0.0000 0.0000 0.0000
K2 K 0.0000 0.0000 0.1352
K3 K 0.0000 0.0000 0.2806
Fe1 Fe 0.0000 0.0000 0.5000
Sb1 Sb 0.0000 0.0000 0.4099
```

---

RbPtO3: computed powder X-ray diffraction pattern (Cu Kα (weighted mean of Kα1 and Kα2)), based on a cell relaxed with GGA-PBE.

Largest 10 diffraction maxima, low angle first, 2θ from 10° to 90°:
Position (°2θ)  I/Imax  index
14.26  71  0 0 3
21.10  66  0 1 2
26.89  83  1 0 4
28.74  32  0 0 6
30.56  24  0 1 5
32.86  100  1 1 0
35.98  29  1 1 3
44.21  89  1 1 6
55.75  27  2 -1 9
58.67  27  3 0 0

Atomic structure:
```
data_RbPtO3
_cell_length_a 5.4506
_cell_length_b 5.4506
_cell_length_c 18.6388
_cell_angle_alpha 90.00
_cell_angle_beta 90.00
_cell_angle_gamma 120.00
_symmetry_space_group_name_H-M 'R -3'
_symmetry_Int_Tables_number 148
_symmetry_space_group_name_Hall '-R 3'
loop_
_atom_site_label
_atom_site_type_symbol
_atom_site_fract_x
_atom_site_fract_y
_atom_site_fract_z
Rb1 Rb 0.0000 0.0000 0.1414
Pt1 Pt 0.0000 0.0000 0.3341
O1 O 0.0017 0.3897 0.9411
```